No. 1
For Zn8Te, a crystal structure in Alexandria, relaxed with GGA-PBE gives the theoretical X-ray diffraction stick pattern in this record (a wavelength of 1.5418 Å).
Neutral-atom scattering factors, no anomalous dispersion.

abc: 6.5444 6.5444 6.5444
angles: 95.49 95.49 143.97
Positions (direct):
Zn 0.0000 0.3466 0.3466
Zn 0.0000 0.6534 0.6534
Zn 0.3171 0.3171 0.6342
Zn 0.3171 0.6829 0.0000
Zn 0.3466 0.0000 0.3466
Zn 0.6534 0.0000 0.6534
Zn 0.6829 0.3171 0.0000
Zn 0.6829 0.6829 0.3658
Te 0.0000 0.0000 0.0000

Largest 8 diffraction maxima, most intense first, 2θ from 15° to 90°:
2θ/deg, Rel. int.
37.87, 100
43.63, 32
76.29, 19
64.30, 19
44.78, 16
77.94, 11
63.41, 9
80.94, 8

***

No. 2
For ZrTe, a crystal structure in Alexandria, relaxed with GGA-PBE gives the theoretical X-ray diffraction stick pattern in this record (a wavelength of 1.5418 Å).
Neutral-atom scattering factors, no anomalous dispersion.

abc: 3.5678 3.5678 3.5678
angles: 90.00 90.00 90.00
Positions (direct):
Zr 0.0000 0.0000 0.0000
Te 0.5000 0.5000 0.5000

Largest 8 diffraction maxima, most intense first, 2θ from 15° to 90°:
2θ/deg, Rel. int.
35.59, 100
63.91, 35
51.21, 17
86.20, 15
75.35, 11
24.96, 2
57.78, 1
43.96, 1

***

No. 3
For Zr5Te3, a crystal structure in Alexandria, relaxed with GGA-PBE gives the theoretical X-ray diffraction stick pattern in this record (a wavelength of 1.5418 Å).
Neutral-atom scattering factors, no anomalous dispersion.

abc: 8.2338 8.2338 8.2709
angles: 98.79 98.79 133.51
Positions (direct):
Zr 0.0000 0.0000 0.0000
Zr 0.0330 0.3852 0.7934
Zr 0.0573 0.8480 0.3471
Zr 0.2606 0.6080 0.2141
Zr 0.3852 0.0330 0.7934
Zr 0.5067 0.5067 0.0157
Zr 0.5720 0.7846 0.6504
Zr 0.6080 0.2606 0.2141
Zr 0.7846 0.5720 0.6504
Zr 0.8480 0.0573 0.3471
Te 0.0757 0.5480 0.5024
Te 0.0799 0.0799 0.6696
Te 0.3777 0.3777 0.3452
Te 0.5480 0.0757 0.5024
Te 0.5529 0.8900 0.9959
Te 0.8900 0.5529 0.9959

Largest 8 diffraction maxima, most intense first, 2θ from 15° to 90°:
2θ/deg, Rel. int.
37.21, 100
32.26, 39
36.45, 31
37.32, 27
32.14, 25
37.57, 24
36.22, 24
23.06, 22

***

No. 4
For Zr3Te4, a crystal structure in Alexandria, relaxed with GGA-PBE gives the theoretical X-ray diffraction stick pattern in this record (a wavelength of 1.5418 Å).
Neutral-atom scattering factors, no anomalous dispersion.

abc: 7.1068 7.1068 4.0261
angles: 90.00 90.00 107.29
Positions (direct):
Zr 0.0000 0.0000 0.0000
Zr 0.0000 0.5000 0.5000
Zr 0.5000 0.0000 0.5000
Te 0.2594 0.2594 0.5000
Te 0.2645 0.7355 0.0000
Te 0.7355 0.2645 0.0000
Te 0.7406 0.7406 0.5000

Largest 8 diffraction maxima, most intense first, 2θ from 15° to 90°:
2θ/deg, Rel. int.
30.72, 100
44.39, 69
31.26, 46
42.94, 19
54.06, 19
55.84, 17
45.03, 17
72.92, 15

***

No. 5
For Zr5Te3, a crystal structure in Alexandria, relaxed with GGA-PBE gives the theoretical X-ray diffraction stick pattern in this record (a wavelength of 1.5418 Å).
Neutral-atom scattering factors, no anomalous dispersion.

abc: 6.0700 6.0700 4.9080
angles: 90.00 90.00 96.24
Positions (direct):
Zr 0.0000 0.0000 0.0000
Zr 0.0000 0.5000 0.0000
Zr 0.2930 0.2930 0.5000
Zr 0.5000 0.0000 0.0000
Zr 0.7070 0.7070 0.5000
Te 0.2107 0.7893 0.5000
Te 0.5000 0.5000 0.0000
Te 0.7893 0.2107 0.5000

Largest 8 diffraction maxima, most intense first, 2θ from 15° to 90°:
2θ/deg, Rel. int.
34.91, 100
36.63, 30
64.85, 20
39.90, 15
55.27, 13
44.73, 11
59.13, 9
73.73, 7

***

No. 6
For Zr4Te5, a crystal structure in Alexandria, relaxed with GGA-PBE gives the theoretical X-ray diffraction stick pattern in this record (a wavelength of 1.5418 Å).
Neutral-atom scattering factors, no anomalous dispersion.

abc: 8.3979 8.3979 7.5542
angles: 90.00 90.00 120.00
Positions (direct):
Zr 0.0000 0.0000 0.0000
Zr 0.0000 0.0000 0.5000
Zr 0.0000 0.3959 0.2500
Zr 0.0000 0.6041 0.7500
Zr 0.3959 0.0000 0.2500
Zr 0.3959 0.3959 0.7500
Zr 0.6041 0.0000 0.7500
Zr 0.6041 0.6041 0.2500
Te 0.0000 0.2614 0.7500
Te 0.0000 0.7386 0.2500
Te 0.2614 0.0000 0.7500
Te 0.2614 0.2614 0.2500
Te 0.3333 0.6667 0.0000
Te 0.3333 0.6667 0.5000
Te 0.6667 0.3333 0.0000
Te 0.6667 0.3333 0.5000
Te 0.7386 0.0000 0.2500
Te 0.7386 0.7386 0.7500

Largest 8 diffraction maxima, most intense first, 2θ from 15° to 90°:
2θ/deg, Rel. int.
31.87, 100
34.73, 52
37.08, 42
49.68, 19
49.06, 19
62.32, 18
48.18, 14
79.46, 10

***

No. 7
For ZrTe, a crystal structure in Alexandria, relaxed with GGA-PBE gives the theoretical X-ray diffraction stick pattern in this record (a wavelength of 1.5418 Å).
Neutral-atom scattering factors, no anomalous dispersion.

abc: 3.7513 3.7513 9.3702
angles: 90.00 90.00 120.00
Positions (direct):
Zr 0.3333 0.6667 0.1284
Zr 0.6667 0.3333 0.8716
Te 0.3333 0.6667 0.6708
Te 0.6667 0.3333 0.3292

Largest 8 diffraction maxima, most intense first, 2θ from 15° to 90°:
2θ/deg, Rel. int.
33.57, 100
27.45, 33
48.54, 30
47.87, 19
60.31, 18
80.94, 15
18.94, 12
63.54, 10

***

No. 8
For Zr5Te6, a crystal structure in Alexandria, relaxed with GGA-PBE gives the theoretical X-ray diffraction stick pattern in this record (a wavelength of 1.5418 Å).
Neutral-atom scattering factors, no anomalous dispersion.

abc: 11.8014 11.8014 7.1657
angles: 90.00 90.00 120.00
Positions (direct):
Zr 0.0000 0.0000 0.0000
Zr 0.0000 0.2977 0.0000
Zr 0.0000 0.3628 0.5000
Zr 0.0000 0.6372 0.5000
Zr 0.0000 0.7023 0.0000
Zr 0.2977 0.0000 0.0000
Zr 0.2977 0.2977 0.0000
Zr 0.3333 0.6667 0.4884
Zr 0.3628 0.0000 0.5000
Zr 0.3628 0.3628 0.5000
Zr 0.6372 0.0000 0.5000
Zr 0.6372 0.6372 0.5000
Zr 0.6667 0.3333 0.5116
Zr 0.7023 0.0000 0.0000
Zr 0.7023 0.7023 0.0000
Te 0.1065 0.2130 0.2896
Te 0.1065 0.8935 0.2896
Te 0.1177 0.5588 0.2085
Te 0.2130 0.1065 0.7104
Te 0.2245 0.4490 0.7553
Te 0.2245 0.7755 0.7553
Te 0.4412 0.5588 0.2085
Te 0.4412 0.8823 0.2085
Te 0.4490 0.2245 0.2447
Te 0.5510 0.7755 0.7553
Te 0.5588 0.1177 0.7915
Te 0.5588 0.4412 0.7915
Te 0.7755 0.2245 0.2447
Te 0.7755 0.5510 0.2447
Te 0.7870 0.8935 0.2896
Te 0.8823 0.4412 0.7915
Te 0.8935 0.1065 0.7104
Te 0.8935 0.7870 0.7104

Largest 8 diffraction maxima, most intense first, 2θ from 15° to 90°:
2θ/deg, Rel. int.
29.02, 100
36.39, 79
46.15, 41
46.43, 19
55.45, 16
34.01, 15
71.19, 13
74.94, 13

***

No. 9
For Zr5Te, a crystal structure in Alexandria, relaxed with GGA-PBE gives the theoretical X-ray diffraction stick pattern in this record (a wavelength of 1.5418 Å).
Neutral-atom scattering factors, no anomalous dispersion.

abc: 5.5099 5.5099 5.2073
angles: 90.00 90.00 120.00
Positions (direct):
Zr 0.0000 0.6774 0.0000
Zr 0.3226 0.3226 0.0000
Zr 0.3333 0.6667 0.5000
Zr 0.6667 0.3333 0.5000
Zr 0.6774 0.0000 0.0000
Te 0.0000 0.0000 0.5000

Largest 8 diffraction maxima, most intense first, 2θ from 15° to 90°:
2θ/deg, Rel. int.
36.91, 100
34.45, 27
32.50, 24
69.22, 20
63.33, 20
57.98, 17
48.08, 16
70.75, 14

***

No. 10
For ThTi3, a crystal structure in Alexandria, relaxed with GGA-PBE gives the theoretical X-ray diffraction stick pattern in this record (a wavelength of 1.5418 Å).
Neutral-atom scattering factors, no anomalous dispersion.

abc: 3.0576 4.9048 5.5900
angles: 90.00 90.00 90.00
Positions (direct):
Th 0.0000 0.0000 0.0000
Ti 0.0000 0.5000 0.6761
Ti 0.5000 0.0000 0.4998
Ti 0.5000 0.5000 0.2513

Largest 8 diffraction maxima, most intense first, 2θ from 15° to 90°:
2θ/deg, Rel. int.
38.24, 100
37.02, 71
24.14, 67
33.40, 55
18.09, 51
15.85, 51
36.64, 40
50.42, 34

***

No. 11
For ThZrTi2, a crystal structure in Alexandria, relaxed with GGA-PBE gives the theoretical X-ray diffraction stick pattern in this record (a wavelength of 1.5418 Å).
Neutral-atom scattering factors, no anomalous dispersion.

abc: 4.9681 4.9681 4.9681
angles: 60.00 60.00 60.00
Positions (direct):
Th 0.0000 0.0000 0.0000
Zr 0.5000 0.5000 0.5000
Ti 0.2500 0.2500 0.2500
Ti 0.7500 0.7500 0.7500

Largest 8 diffraction maxima, most intense first, 2θ from 15° to 90°:
2θ/deg, Rel. int.
36.16, 100
25.35, 35
65.03, 35
21.91, 22
52.07, 17
87.89, 16
58.77, 15
42.68, 13

***

No. 12
For Th3Tl4, a crystal structure in Alexandria, relaxed with GGA-PBE gives the theoretical X-ray diffraction stick pattern in this record (a wavelength of 1.5418 Å).
Neutral-atom scattering factors, no anomalous dispersion.

abc: 6.3383 6.3383 15.6101
angles: 90.01 90.01 42.36
Positions (direct):
Th 0.0000 0.0000 0.0000
Th 0.0000 0.0000 0.3010
Th 0.3640 0.3640 0.8008
Th 0.3649 0.3649 0.4997
Th 0.6454 0.6454 0.6507
Th 0.7190 0.7190 0.1503
Tl 0.0758 0.0758 0.7946
Tl 0.0769 0.0769 0.5065
Tl 0.2882 0.2882 0.0062
Tl 0.2881 0.2881 0.2944
Tl 0.4556 0.4556 0.1504
Tl 0.6823 0.6823 0.4003
Tl 0.6820 0.6820 0.9004
Tl 0.9088 0.9088 0.6502

Largest 8 diffraction maxima, most intense first, 2θ from 15° to 90°:
2θ/deg, Rel. int.
31.04, 100
34.63, 60
29.91, 56
39.35, 38
30.79, 29
38.20, 28
56.00, 19
34.47, 18